# 1
Theoretical powder XRD pattern
Compound: Ba2Cd7Ga
Radiation: copper Kα
Structure: a cell relaxed with PBE
Neutral-atom scattering factors, no anomalous dispersion.

Crystal structure
a = 4.7510 Å, b = 4.7510 Å, c = 12.6539 Å
α = 90.00°, β = 90.00°, γ = 90.00°
Space group P-4m2 (No. 115)
Inequivalent atoms, fractional coordinates:
Ba (0.0000, 0.5000, 0.2432) (multiplicity 2)
Cd (0.0000, 0.0000, 0.0000) (multiplicity 1)
Cd (0.0000, 0.0000, 0.5000) (multiplicity 1)
Cd (0.0000, 0.5000, 0.6411) (multiplicity 2)
Cd (0.0000, 0.5000, 0.8708) (multiplicity 2)
Cd (0.5000, 0.5000, 0.5000) (multiplicity 1)
Ga (0.5000, 0.5000, 0.0000) (multiplicity 1)

Principal peaks in the range 10 to 90 degrees two-theta, sorted by position:
2θ/deg  intensity  (hkl)
28.29  61  1 0 3
30.12  100  1 1 2
37.87  64  2 0 0
39.11  32  1 1 4
40.38  36  1 0 5
47.94  29  2 1 3
54.64  21  2 2 0
56.56  26  2 1 5
63.66  22  3 1 2
71.68  16  2 0 8

***

# 2
Theoretical powder XRD pattern
Compound: Ba3Cd3Ga8
Radiation: copper Kα
Structure: a cell relaxed with PBE
Neutral-atom scattering factors, no anomalous dispersion.

Crystal structure
a = 17.3483 Å, b = 4.4290 Å, c = 10.8434 Å
α = 90.00°, β = 119.02°, γ = 90.00°
Space group C2/m (No. 12)
Inequivalent atoms, fractional coordinates:
Ba (0.0000, 0.0000, 0.0000) (multiplicity 2)
Ba (0.1985, 0.5000, 0.6478) (multiplicity 4)
Cd (0.0000, 0.0000, 0.5000) (multiplicity 2)
Cd (0.1862, 0.5000, 0.0459) (multiplicity 4)
Ga (0.0296, 0.5000, 0.7568) (multiplicity 4)
Ga (0.1051, 0.0000, 0.3719) (multiplicity 4)
Ga (0.1287, 0.0000, 0.8277) (multiplicity 4)
Ga (0.1300, 0.5000, 0.2678) (multiplicity 4)

Principal peaks in the range 10 to 90 degrees two-theta, sorted by position:
2θ/deg  intensity  (hkl)
26.76  43  3 1 0
27.36  32  3 1 -2
30.08  100  1 1 2
30.98  41  6 0 -2
32.21  39  3 1 -3
33.14  26  5 1 -2
33.70  26  2 0 -4
35.74  28  5 1 -3
36.84  22  4 0 2
40.75  55  0 2 0